Diffraction record for Ho3MgAg. The PXRD pattern is theoretical, not measured: it uses DFT lattice parameters and positions (PBE) and Cu Kα X-rays.
Lines closer than 0.1° are merged.

Main lines, sorted by position (2θ = 5–70°):
| d/Å | I (rel.) |
| --- | --- |
| 3.575 | 17 |
| 2.693 | 100 |
| 2.568 | 48 |
| 2.007 | 8 |
| 1.816 | 17 |
| 1.581 | 16 |
| 1.506 | 34 |
| 1.346 | 9 |

Cell and atoms:
Lattice parameters (Å, degrees): 10.357 10.357 5.132 90.00 90.00 151.26
Positions (direct):
Ho1 0.058 0.942 0.750
Ho2 0.249 0.751 0.750
Ho3 0.438 0.562 0.750
Ho4 0.562 0.438 0.250
Ho5 0.751 0.249 0.250
Ho6 0.942 0.058 0.250
Mg1 0.154 0.846 0.250
Mg2 0.846 0.154 0.750
Ag1 0.338 0.662 0.250
Ag2 0.662 0.338 0.750